# 1
Starting from a cell relaxed with PBE, the powder XRD pattern of K4NdRu3O12 was simulated for Cu Kα (λ = 1.5418 Å).

The 10 most intense peaks (5 to 70 degrees two-theta), in order of rising 2θ:
hkl 1 1 0, 2θ 15.28, I = 1
hkl 2 0 0, 2θ 21.67, I = 52
hkl 2 2 0, 2θ 30.83, I = 100
hkl 2 2 2, 2θ 38.00, I = 1
hkl 3 2 1, 2θ 41.18, I = 2
hkl 4 0 0, 2θ 44.17, I = 37
hkl 4 2 0, 2θ 49.71, I = 21
hkl 4 2 2, 2θ 54.83, I = 38
hkl 4 4 0, 2θ 64.24, I = 22
hkl 6 0 0, 2θ 68.66, I = 10

Atomic structure:
a b c (Å): 8.2020 8.2020 8.2020
angles (deg): 90.00 90.00 90.00
Space group Im-3m (No. 229)
Asymmetric unit:
K: 0.2500 0.2500 0.2500 [8 per cell]
Nd: 0.0000 0.0000 0.0000 [2 per cell]
Ru: 0.0000 0.0000 0.5000 [6 per cell]
O: 0.0000 0.0000 0.2745 [12 per cell]
O: 0.0000 0.2500 0.5000 [12 per cell]

=====

# 2
Starting from a cell relaxed with PBE, the powder XRD pattern of U2Ni4Ge3Pd was simulated for Cu Kα (λ = 1.5418 Å).

The 10 most intense peaks (5 to 70 degrees two-theta), in order of rising 2θ:
hkl 1 0 1, 2θ 24.53, I = 23
hkl 1 1 0, 2θ 32.85, I = 18
hkl 0 0 4, 2θ 33.31, I = 14
hkl 1 0 3, 2θ 34.14, I = 62
hkl 1 1 2, 2θ 36.96, I = 100
hkl 2 0 0, 2θ 47.14, I = 41
hkl 1 0 5, 2θ 48.44, I = 33
hkl 2 1 3, 2θ 59.48, I = 26
hkl 1 1 6, 2θ 61.93, I = 14
hkl 0 0 8, 2θ 69.91, I = 27

Atomic structure:
a b c (Å): 3.8556 3.8556 10.7606
angles (deg): 90.00 90.00 90.00
Space group P-4m2 (No. 115)
Asymmetric unit:
U: 0.0000 0.5000 0.2466 [2 per cell]
Ni: 0.0000 0.0000 0.5000 [1 per cell]
Ni: 0.0000 0.5000 0.8421 [2 per cell]
Ni: 0.5000 0.5000 0.5000 [1 per cell]
Ge: 0.0000 0.0000 0.0000 [1 per cell]
Ge: 0.0000 0.5000 0.6255 [2 per cell]
Pd: 0.5000 0.5000 0.0000 [1 per cell]

=====

# 3
Starting from a cell relaxed with PBE, the powder XRD pattern of Na5LiN2 was simulated for Cu Kα (λ = 1.5418 Å).

The 10 most intense peaks (5 to 70 degrees two-theta), in order of rising 2θ:
hkl 1 0 0, 2θ 20.40, I = 92
hkl 1 0 -2, 2θ 30.91, I = 31
hkl 1 1 1, 2θ 31.13, I = 83
hkl 1 1 -2, 2θ 37.14, I = 27
hkl 0 1 3, 2θ 40.63, I = 100
hkl 0 2 0, 2θ 40.84, I = 59
hkl 1 1 3, 2θ 45.97, I = 25
hkl 2 1 -1, 2θ 48.02, I = 28
hkl 2 0 2, 2θ 48.13, I = 19
hkl 1 0 4, 2θ 52.06, I = 23

Atomic structure:
a b c (Å): 4.3527 4.4188 7.7068
angles (deg): 90.00 90.32 90.00
Space group Pm (No. 6)
Asymmetric unit:
Na: 0.0000 0.0000 0.0000 [1 per cell]
Na: 0.0800 0.5000 0.4546 [1 per cell]
Na: 0.1719 0.0000 0.6596 [1 per cell]
Na: 0.2952 0.5000 0.1278 [1 per cell]
Na: 0.6201 0.5000 0.7716 [1 per cell]
Li: 0.6396 0.0000 0.3303 [1 per cell]
N: 0.1185 0.5000 0.8224 [1 per cell]
N: 0.1557 0.0000 0.3178 [1 per cell]